Theoretical XRD peak list
Compound: Na3CuPCO7
Radiation: Cu Kα (λ = 1.5418 Å)
Structure: a DFT-relaxed cell (GGA-PBE, the Materials Project)

Largest 6 diffraction maxima, by angle, 10° ≤ 2θ ≤ 90°:
h k l  d [Å]  2theta  I/Imax
1 0 0  5.436  16.31  76
1 0 2  3.433  25.96  40
0 2 0  3.180  28.06  73
2 0 0  2.718  32.96  69
1 2 -1  2.642  33.93  100
1 0 3  2.612  34.33  95

Structural model:
Lattice parameters (Å, degrees): 5.4393 6.3591 9.1329 90.00 92.13 90.00
Fractional positions:
Na: 0.0022 0.0000 0.0055
Na: 0.4391 0.3069 0.1682
Na: 0.4971 0.5054 0.5096
Na: 0.5029 0.0054 0.4904
Na: 0.5609 0.8069 0.8318
Na: 0.9978 0.5000 0.9945
Cu: 0.0496 0.2445 0.7082
Cu: 0.9504 0.7445 0.2918
P: 0.0396 0.7497 0.6508
P: 0.9604 0.2497 0.3492
C: 0.4969 0.2544 0.8580
C: 0.5031 0.7544 0.1420
O: 0.0221 0.0512 0.2563
O: 0.0546 0.4404 0.2561
O: 0.1136 0.2408 0.4966
O: 0.2650 0.2420 0.9019
O: 0.3161 0.7686 0.6290
O: 0.3314 0.7491 0.0405
O: 0.4651 0.7650 0.2787
O: 0.5349 0.2650 0.7213
O: 0.6686 0.2491 0.9595
O: 0.6839 0.2686 0.3710
O: 0.7350 0.7420 0.0981
O: 0.8864 0.7408 0.5034
O: 0.9454 0.9404 0.7439
O: 0.9779 0.5512 0.7437